Theoretical powder XRD pattern
Compound: Tb2Dy2O5
Radiation: Cu Kα
Structure: a cell relaxed with GGA-PBE

Structure:
```
data_Tb2Dy2O5
_chemical_formula_sum 'Tb2 Dy2 O5'
_symmetry_space_group_name_H-M 'P 1'
_symmetry_Int_Tables_number 1
_symmetry_space_group_name_Hall 'P 1'
_cell_length_a 3.8827
_cell_length_b 3.8827
_cell_length_c 9.6541
_cell_angle_alpha 90.00
_cell_angle_beta 90.00
_cell_angle_gamma 90.00
loop_
_atom_site_label
_atom_site_type_symbol
_atom_site_fract_x
_atom_site_fract_y
_atom_site_fract_z
Tb1 Tb 0.0000 0.0000 0.2412
Tb2 Tb 0.0000 0.0000 0.7588
Dy1 Dy 0.5000 0.5000 0.0000
Dy2 Dy 0.5000 0.5000 0.5000
O1 O 0.0000 0.0000 0.5000
O2 O 0.0000 0.5000 0.1423
O3 O 0.0000 0.5000 0.8577
O4 O 0.5000 0.0000 0.1423
O5 O 0.5000 0.0000 0.8577
```

Principal peaks in the range 2θ from 15° to 90°, by angle:
3.025 Å, 2θ 29.5, I = 100.0; 2.746 Å, 2θ 32.6, I = 34.7; 2.414 Å, 2θ 37.3, I = 12.1; 1.941 Å, 2θ 46.8, I = 18.9; 1.813 Å, 2θ 50.3, I = 29.1; 1.634 Å, 2θ 56.3, I = 33.2; 1.513 Å, 2θ 61.3, I = 11.8; 1.486 Å, 2θ 62.5, I = 11.6; 1.180 Å, 2θ 81.6, I = 11.0; 1.094 Å, 2θ 89.6, I = 11.3